# Na3U3ReN8
Simulated X-ray powder pattern, CuKα. Input: a crystal structure in Alexandria, relaxed with PBE.
Kinematic intensities with the Lorentz-polarization factor, no thermal factor.

Structure:
```
data_Na3U3ReN8
_chemical_formula_sum 'Na9 U9 Re3 N24'
_cell_length_a 6.7317
_cell_length_b 6.7317
_cell_length_c 17.1364
_cell_angle_alpha 90.00
_cell_angle_beta 90.00
_cell_angle_gamma 120.00
_symmetry_space_group_name_H-M 'R -3 m'
_symmetry_Int_Tables_number 166
_symmetry_space_group_name_Hall '-R 3 2"'
loop_
_atom_site_label
_atom_site_fract_x
_atom_site_fract_y
_atom_site_fract_z
Na1 0.0000 0.5000 0.0000
U1 0.0000 0.5000 0.5000
Re1 0.0000 0.0000 0.5000
N1 0.0000 0.0000 0.2304
N2 0.0099 0.5050 0.2255
```

Main lines, low angle first (15° ≤ 2θ ≤ 90°):
2θ 15.5, intensity 100
2θ 31.1, intensity 49
2θ 31.3, intensity 20
2θ 32.4, intensity 51
2θ 37.3, intensity 53
2θ 40.6, intensity 21
2θ 48.6, intensity 19
2θ 57.1, intensity 21

# Na2VReN4
Simulated X-ray powder pattern, CuKα. Input: a crystal structure in Alexandria, relaxed with PBE.
Kinematic intensities with the Lorentz-polarization factor, no thermal factor.

Structure:
```
data_Na2VReN4
_chemical_formula_sum 'Na4 V2 Re2 N8'
_cell_length_a 5.848
_cell_length_b 6.548
_cell_length_c 6.037
_cell_angle_alpha 90.00
_cell_angle_beta 90.00
_cell_angle_gamma 90.00
_symmetry_space_group_name_H-M 'P m m n'
_symmetry_Int_Tables_number 59
loop_
_symmetry_equiv_pos_as_xyz
'x,y,z'
'-x,-y,-z'
'-x+1/2,-y+1/2,z'
'x+1/2,y+1/2,-z'
'x+1/2,-y,-z'
'-x+1/2,y,z'
'-x,y+1/2,-z'
'x,-y+1/2,z'
loop_
_atom_site_label
_atom_site_fract_x
_atom_site_fract_y
_atom_site_fract_z
Na1 0.250 0.001 0.235
V1 0.250 0.750 0.686
Re1 0.250 0.250 0.684
N1 0.000 0.250 0.495
N2 0.250 0.001 0.839
```

Main lines, low angle first (15° ≤ 2θ ≤ 90°):
2θ 20.0, intensity 43
2θ 20.4, intensity 51
2θ 21.2, intensity 100
2θ 27.2, intensity 25
2θ 30.6, intensity 44
2θ 34.7, intensity 90
2θ 43.1, intensity 25
2θ 43.6, intensity 28

# Na2YReN4
Simulated X-ray powder pattern, CuKα. Input: a crystal structure in Alexandria, relaxed with PBE.
Kinematic intensities with the Lorentz-polarization factor, no thermal factor.

Structure:
```
data_Na2YReN4
_chemical_formula_sum 'Na8 Y4 Re4 N16'
_cell_length_a 10.378
_cell_length_b 8.869
_cell_length_c 7.008
_cell_angle_alpha 90.00
_cell_angle_beta 132.46
_cell_angle_gamma 90.00
_symmetry_space_group_name_H-M 'C 1 2 1'
_symmetry_Int_Tables_number 5
loop_
_symmetry_equiv_pos_as_xyz
'x,y,z'
'-x,y,-z'
'x+1/2,y+1/2,z'
'-x+1/2,y+1/2,-z'
loop_
_atom_site_label
_atom_site_fract_x
_atom_site_fract_y
_atom_site_fract_z
Na1 0.027 0.000 0.277
Na2 0.250 0.250 0.298
Y1 0.012 0.500 0.262
Re1 0.250 0.250 0.861
N1 0.062 0.250 0.832
N2 0.062 0.750 0.791
N3 0.222 0.436 0.710
N4 0.222 0.564 0.234
```

Main lines, low angle first (15° ≤ 2θ ≤ 90°):
2θ 16.1, intensity 84
2θ 17.2, intensity 55
2θ 26.5, intensity 61
2θ 28.4, intensity 48
2θ 29.8, intensity 100
2θ 30.9, intensity 91
2θ 40.7, intensity 43
2θ 41.7, intensity 43

# Na2Sr6RhN
Simulated X-ray powder pattern, CuKα. Input: a crystal structure in Alexandria, relaxed with PBE.
Kinematic intensities with the Lorentz-polarization factor, no thermal factor.

Structure:
```
data_Na2Sr6RhN
_chemical_formula_sum 'Na4 Sr12 Rh2 N2'
_cell_length_a 8.065
_cell_length_b 11.420
_cell_length_c 8.057
_cell_angle_alpha 90.00
_cell_angle_beta 90.00
_cell_angle_gamma 90.00
_symmetry_space_group_name_H-M 'I m m 2'
_symmetry_Int_Tables_number 44
loop_
_symmetry_equiv_pos_as_xyz
'x,y,z'
'-x,-y,z'
'-x,y,z'
'x,-y,z'
'x+1/2,y+1/2,z+1/2'
'-x+1/2,-y+1/2,z+1/2'
'-x+1/2,y+1/2,z+1/2'
'x+1/2,-y+1/2,z+1/2'
loop_
_atom_site_label
_atom_site_fract_x
_atom_site_fract_y
_atom_site_fract_z
Na1 0.000 0.250 0.000
Sr1 0.000 0.238 0.500
Sr2 0.237 0.000 0.262
Sr3 0.238 0.000 0.739
Rh1 0.000 0.500 0.500
N1 0.000 0.000 0.500
```

Main lines, low angle first (15° ≤ 2θ ≤ 90°):
2θ 15.5, intensity 73
2θ 27.1, intensity 84
2θ 31.4, intensity 100
2θ 35.2, intensity 36
2θ 45.0, intensity 71
2θ 53.3, intensity 35
2θ 55.8, intensity 24
2θ 74.4, intensity 24

# Na3RuN2
Simulated X-ray powder pattern, CuKα. Input: a crystal structure in Alexandria, relaxed with PBE.
Kinematic intensities with the Lorentz-polarization factor, no thermal factor.

Structure:
```
data_Na3RuN2
_chemical_formula_sum 'Na12 Ru4 N8'
_cell_length_a 8.585
_cell_length_b 7.367
_cell_length_c 6.179
_cell_angle_alpha 90.00
_cell_angle_beta 90.00
_cell_angle_gamma 90.00
_symmetry_space_group_name_H-M 'C m c m'
_symmetry_Int_Tables_number 63
_symmetry_space_group_name_Hall '-C 2c 2'
loop_
_atom_site_label
_atom_site_fract_x
_atom_site_fract_y
_atom_site_fract_z
Na1 0.000 0.246 0.250
Na2 0.209 0.000 0.000
Ru1 0.000 0.345 0.750
N1 0.000 0.096 0.750
N2 0.000 0.500 0.000
```

Main lines, low angle first (15° ≤ 2θ ≤ 90°):
2θ 15.9, intensity 48
2θ 20.7, intensity 75
2θ 21.4, intensity 100
2θ 28.2, intensity 36
2θ 33.6, intensity 28
2θ 35.2, intensity 41
2θ 35.8, intensity 79
2θ 38.0, intensity 33

# NaS5N
Simulated X-ray powder pattern, CuKα. Input: a crystal structure in Alexandria, relaxed with PBE.
Kinematic intensities with the Lorentz-polarization factor, no thermal factor.

Structure:
```
data_NaS5N
_chemical_formula_sum 'Na1 S5 N1'
_cell_length_a 4.173
_cell_length_b 7.245
_cell_length_c 7.305
_cell_angle_alpha 76.40
_cell_angle_beta 75.61
_cell_angle_gamma 89.84
_symmetry_space_group_name_H-M 'P 1'
_symmetry_Int_Tables_number 1
loop_
_symmetry_equiv_pos_as_xyz
'x,y,z'
loop_
_atom_site_label
_atom_site_fract_x
_atom_site_fract_y
_atom_site_fract_z
Na1 0.000 0.000 0.000
S1 0.333 0.627 0.766
S2 0.564 0.399 0.994
S3 0.565 0.864 0.756
S4 0.594 0.569 0.455
S5 0.987 0.739 0.373
N1 0.488 0.190 0.017
```

Main lines, low angle first (15° ≤ 2θ ≤ 90°):
2θ 15.7, intensity 70
2θ 20.1, intensity 87
2θ 22.0, intensity 36
2θ 22.5, intensity 42
2θ 26.0, intensity 100
2θ 26.8, intensity 43
2θ 34.2, intensity 48
2θ 35.6, intensity 39